Record 1
Diffraction record for Li5Pd3Au4. The X-ray powder pattern is simulated, not measured: it uses DFT lattice parameters and positions (GGA-PBE) and Cu Kα, 1.54184 Å.

Peak list (12 most intense, 10 to 90 degrees two-theta, sorted by position)
20.8 deg, I 72; 22.3 deg, I 58; 26.9 deg, I 45; 27.4 deg, I 49; 28.8 deg, I 56; 30.9 deg, I 57; 38.4 deg, I 43; 38.6 deg, I 87; 40.1 deg, I 41; 40.4 deg, I 87; 41.1 deg, I 100; 64.9 deg, I 50

Structure:
Unit cell a=6.6944 b=6.6944 c=7.6643 alpha=120.31 beta=120.31 gamma=40.81
Fractional coordinates of all 12 atoms:
1 Li 0.0000 0.0000 0.0000
2 Li 0.3194 0.3194 0.6289
3 Li 0.4316 0.4316 0.2707
4 Li 0.5684 0.5684 0.7293
5 Li 0.6806 0.6806 0.3711
6 Pd 0.2190 0.2190 0.2452
7 Pd 0.5000 0.5000 0.0000
8 Pd 0.7810 0.7810 0.7548
9 Au 0.0733 0.0733 0.4158
10 Au 0.2247 0.2247 0.8771
11 Au 0.7753 0.7753 0.1229
12 Au 0.9267 0.9267 0.5843



Record 2
Diffraction record for LiPd4Au5. The X-ray powder pattern is simulated, not measured: it uses DFT lattice parameters and positions (GGA-PBE) and Cu Kα, 1.54184 Å.

Peak list (12 most intense, 10 to 90 degrees two-theta, sorted by position)
16.4 deg, I 13; 38.6 deg, I 100; 38.6 deg, I 100; 44.4 deg, I 34; 44.5 deg, I 34; 45.7 deg, I 32; 64.7 deg, I 22; 65.5 deg, I 21; 65.7 deg, I 21; 77.8 deg, I 13; 77.9 deg, I 26; 78.0 deg, I 13

Structure:
Unit cell a=4.9003 b=5.6995 c=6.4419 alpha=77.02 beta=74.85 gamma=74.57
Fractional coordinates of all 10 atoms:
1 Li 0.0000 0.0000 0.0000
2 Pd 0.2000 0.2984 0.6021
3 Pd 0.4009 0.0999 0.1978
4 Pd 0.5991 0.9001 0.8022
5 Pd 0.8000 0.7016 0.3979
6 Au 0.0000 0.5000 0.0000
7 Au 0.2005 0.8046 0.5997
8 Au 0.3958 0.6070 0.1991
9 Au 0.6042 0.3930 0.8009
10 Au 0.7995 0.1954 0.4003



Record 3
Diffraction record for Li4PdAu. The X-ray powder pattern is simulated, not measured: it uses DFT lattice parameters and positions (GGA-PBE) and Cu Kα, 1.54184 Å.

Peak list (12 most intense, 10 to 90 degrees two-theta, sorted by position)
10.3 deg, I 21; 20.7 deg, I 61; 29.6 deg, I 100; 39.5 deg, I 28; 42.2 deg, I 47; 45.0 deg, I 33; 59.1 deg, I 14; 61.1 deg, I 13; 61.4 deg, I 13; 65.6 deg, I 21; 73.5 deg, I 26; 88.5 deg, I 10

Structure:
Unit cell a=3.2258 b=3.2258 c=8.5893 alpha=90.00 beta=90.00 gamma=90.00
Fractional coordinates of all 6 atoms:
1 Li 0.0000 0.0000 0.1530
2 Li 0.0000 0.0000 0.8470
3 Li 0.5000 0.5000 0.3378
4 Li 0.5000 0.5000 0.6622
5 Pd 0.5000 0.5000 0.0000
6 Au 0.0000 0.0000 0.5000



Record 4
Diffraction record for Li3PdAu6. The X-ray powder pattern is simulated, not measured: it uses DFT lattice parameters and positions (GGA-PBE) and Cu Kα, 1.54184 Å.

Peak list (12 most intense, 10 to 90 degrees two-theta, sorted by position)
17.8 deg, I 26; 26.1 deg, I 93; 31.7 deg, I 35; 36.1 deg, I 25; 36.4 deg, I 23; 36.7 deg, I 22; 38.2 deg, I 83; 41.0 deg, I 100; 41.3 deg, I 100; 41.6 deg, I 99; 77.9 deg, I 21; 78.4 deg, I 21

Structure:
Unit cell a=7.5609 b=4.7062 c=9.7946 alpha=90.00 beta=108.24 gamma=90.00
Fractional coordinates of all 20 atoms:
1 Li 0.0898 0.2500 0.2386
2 Li 0.3024 0.2500 0.0288
3 Li 0.3049 0.7500 0.3750
4 Li 0.6951 0.2500 0.6250
5 Li 0.6976 0.7500 0.9712
6 Li 0.9102 0.7500 0.7614
7 Pd 0.0973 0.7500 0.5645
8 Pd 0.9027 0.2500 0.4355
9 Au 0.0926 0.2500 0.7321
10 Au 0.0990 0.7500 0.0699
11 Au 0.2960 0.2500 0.5293
12 Au 0.2964 0.7500 0.8654
13 Au 0.4913 0.2500 0.3332
14 Au 0.4905 0.7500 0.1637
15 Au 0.5095 0.2500 0.8363
16 Au 0.5087 0.7500 0.6667
17 Au 0.7036 0.2500 0.1346
18 Au 0.7040 0.7500 0.4707
19 Au 0.9010 0.2500 0.9301
20 Au 0.9074 0.7500 0.2679



Record 5
Diffraction record for Li3PdAu2. The X-ray powder pattern is simulated, not measured: it uses DFT lattice parameters and positions (GGA-PBE) and Cu Kα, 1.54184 Å.

Peak list (12 most intense, 10 to 90 degrees two-theta, sorted by position)
20.3 deg, I 49; 28.1 deg, I 63; 29.1 deg, I 100; 29.8 deg, I 22; 34.5 deg, I 35; 39.6 deg, I 91; 40.1 deg, I 77; 44.2 deg, I 35; 46.0 deg, I 28; 48.9 deg, I 20; 53.2 deg, I 22; 62.0 deg, I 21

Structure:
Unit cell a=5.3803 b=4.1017 c=8.2186 alpha=90.00 beta=93.26 gamma=90.00
Fractional coordinates of all 12 atoms:
1 Li 0.0932 0.2500 0.2471
2 Li 0.1678 0.2500 0.5928
3 Li 0.3652 0.7500 0.0840
4 Li 0.6348 0.2500 0.9160
5 Li 0.8322 0.7500 0.4072
6 Li 0.9068 0.7500 0.7529
7 Pd 0.4040 0.7500 0.7564
8 Pd 0.5960 0.2500 0.2436
9 Au 0.1418 0.2500 0.9185
10 Au 0.3358 0.7500 0.4110
11 Au 0.6642 0.2500 0.5890
12 Au 0.8582 0.7500 0.0815



Record 6
Diffraction record for Li5Pd6Au. The X-ray powder pattern is simulated, not measured: it uses DFT lattice parameters and positions (GGA-PBE) and Cu Kα, 1.54184 Å.

Peak list (12 most intense, 10 to 90 degrees two-theta, sorted by position)
14.2 deg, I 14; 15.5 deg, I 12; 27.7 deg, I 17; 29.1 deg, I 24; 30.2 deg, I 31; 38.5 deg, I 12; 41.4 deg, I 100; 42.9 deg, I 24; 43.5 deg, I 23; 62.7 deg, I 15; 77.5 deg, I 16; 78.4 deg, I 15

Structure:
Unit cell a=7.3320 b=7.3320 c=7.3320 alpha=146.55 beta=127.87 gamma=63.36
Fractional coordinates of all 12 atoms:
1 Li 0.0000 0.0000 0.0000
2 Li 0.1754 0.6754 0.5000
3 Li 0.3480 0.3480 0.0000
4 Li 0.6520 0.6520 0.0000
5 Li 0.8246 0.3246 0.5000
6 Pd 0.0603 0.8293 0.2311
7 Pd 0.2202 0.5000 0.7202
8 Pd 0.4018 0.1707 0.2311
9 Pd 0.5982 0.8293 0.7689
10 Pd 0.7798 0.5000 0.2798
11 Pd 0.9397 0.1707 0.7689
12 Au 0.5000 0.0000 0.5000



Record 7
Diffraction record for Li4PdAu5. The X-ray powder pattern is simulated, not measured: it uses DFT lattice parameters and positions (GGA-PBE) and Cu Kα, 1.54184 Å.

Peak list (12 most intense, 10 to 90 degrees two-theta, sorted by position)
23.6 deg, I 100; 30.6 deg, I 53; 31.1 deg, I 51; 39.0 deg, I 95; 39.4 deg, I 91; 44.2 deg, I 66; 48.3 deg, I 26; 50.7 deg, I 54; 67.5 deg, I 38; 77.6 deg, I 26; 78.3 deg, I 24; 83.9 deg, I 22

Structure:
Unit cell a=2.9196 b=3.7666 c=14.3998 alpha=90.00 beta=90.00 gamma=90.00
Fractional coordinates of all 10 atoms:
1 Li 0.0000 0.0000 0.1004
2 Li 0.0000 0.0000 0.3051
3 Li 0.0000 0.0000 0.6949
4 Li 0.0000 0.0000 0.8996
5 Pd 0.0000 0.0000 0.5000
6 Au 0.5000 0.5000 0.0000
7 Au 0.5000 0.5000 0.1983
8 Au 0.5000 0.5000 0.3939
9 Au 0.5000 0.5000 0.6061
10 Au 0.5000 0.5000 0.8017



Record 8
Diffraction record for Li5Pd2Au. The X-ray powder pattern is simulated, not measured: it uses DFT lattice parameters and positions (GGA-PBE) and Cu Kα, 1.54184 Å.

Peak list (12 most intense, 10 to 90 degrees two-theta, sorted by position)
20.8 deg, I 99; 28.6 deg, I 100; 30.5 deg, I 43; 35.6 deg, I 53; 40.9 deg, I 47; 42.3 deg, I 85; 51.8 deg, I 38; 63.4 deg, I 16; 67.1 deg, I 18; 68.0 deg, I 17; 75.4 deg, I 31; 78.3 deg, I 22

Structure:
Unit cell a=6.2413 b=6.2413 c=5.8703 alpha=90.00 beta=90.00 gamma=90.00
Fractional coordinates of all 16 atoms:
1 Li 0.0000 0.0000 0.0000
2 Li 0.2500 0.2500 0.2500
3 Li 0.2500 0.2500 0.7500
4 Li 0.2500 0.7500 0.2500
5 Li 0.2500 0.7500 0.7500
6 Li 0.5000 0.5000 0.5000
7 Li 0.7500 0.2500 0.2500
8 Li 0.7500 0.2500 0.7500
9 Li 0.7500 0.7500 0.2500
10 Li 0.7500 0.7500 0.7500
11 Pd 0.0000 0.5000 0.0000
12 Pd 0.0000 0.5000 0.5000
13 Pd 0.5000 0.0000 0.0000
14 Pd 0.5000 0.0000 0.5000
15 Au 0.0000 0.0000 0.5000
16 Au 0.5000 0.5000 0.0000



Please write out number 6 again, unchanged.
Diffraction record for Li5Pd6Au. The X-ray powder pattern is simulated, not measured: it uses DFT lattice parameters and positions (GGA-PBE) and Cu Kα, 1.54184 Å.

Peak list (12 most intense, 10 to 90 degrees two-theta, sorted by position)
14.2 deg, I 14; 15.5 deg, I 12; 27.7 deg, I 17; 29.1 deg, I 24; 30.2 deg, I 31; 38.5 deg, I 12; 41.4 deg, I 100; 42.9 deg, I 24; 43.5 deg, I 23; 62.7 deg, I 15; 77.5 deg, I 16; 78.4 deg, I 15

Structure:
Unit cell a=7.3320 b=7.3320 c=7.3320 alpha=146.55 beta=127.87 gamma=63.36
Fractional coordinates of all 12 atoms:
1 Li 0.0000 0.0000 0.0000
2 Li 0.1754 0.6754 0.5000
3 Li 0.3480 0.3480 0.0000
4 Li 0.6520 0.6520 0.0000
5 Li 0.8246 0.3246 0.5000
6 Pd 0.0603 0.8293 0.2311
7 Pd 0.2202 0.5000 0.7202
8 Pd 0.4018 0.1707 0.2311
9 Pd 0.5982 0.8293 0.7689
10 Pd 0.7798 0.5000 0.2798
11 Pd 0.9397 0.1707 0.7689
12 Au 0.5000 0.0000 0.5000